Entry 1:
# TaSbAs
Computed powder diffractogram, Cu Kα. Input: a cell relaxed with GGA-PBE.
Peak positions follow from Bragg's law for the DFT cell and can differ from measured ones.

Principal peaks in the range 10° ≤ 2θ ≤ 80°, by angle:
- 2θ = 14.96°, I = 36, hkl 0 1 0
- 2θ = 18.71°, I = 39, hkl 1 1 1
- 2θ = 28.69°, I = 31, hkl 0 0 2
- 2θ = 28.98°, I = 34, hkl 2 1 1
- 2θ = 30.17°, I = 63, hkl 0 2 0
- 2θ = 30.85°, I = 34, hkl 1 0 -2
- 2θ = 37.41°, I = 46, hkl -1 2 2
- 2θ = 37.92°, I = 46, hkl 2 2 2
- 2θ = 41.58°, I = 37, hkl 2 -1 1
- 2θ = 41.80°, I = 100, hkl 1 1 3
- 2θ = 43.07°, I = 29, hkl 2 3 1
- 2θ = 43.88°, I = 38, hkl 3 1 -1

Structural model:
```
data_TaSbAs
_cell_length_a 6.755
_cell_length_b 6.802
_cell_length_c 6.857
_cell_angle_alpha 65.59
_cell_angle_beta 87.38
_cell_angle_gamma 73.43
_space_group_name_H-M_alt 'P 1'
_space_group_IT_number 1
_space_group_name_Hall 'P 1'
loop_
_atom_site_label
_atom_site_type_symbol
_atom_site_fract_x
_atom_site_fract_y
_atom_site_fract_z
_atom_site_occupancy
Ta1 Ta 0.000 0.000 0.000 1
Ta2 Ta 0.053 0.449 0.510 1
Ta3 Ta 0.450 0.153 0.470 1
Ta4 Ta 0.629 0.302 0.065 1
Sb1 Sb 0.205 0.531 0.099 1
Sb2 Sb 0.394 0.943 0.189 1
Sb3 Sb 0.415 0.496 0.645 1
Sb4 Sb 0.868 0.911 0.425 1
As1 As 0.132 0.016 0.629 1
As2 As 0.654 0.012 0.854 1
As3 As 0.697 0.481 0.327 1
As4 As 0.945 0.428 0.889 1
```

Entry 2:
# PrNi2H7
Computed powder diffractogram, Cu Kα. Input: a cell relaxed with GGA-PBE.
Peak positions follow from Bragg's law for the DFT cell and can differ from measured ones.

Principal peaks in the range 10° ≤ 2θ ≤ 80°, by angle:
- 2θ = 21.17°, I = 32, hkl 1 1 0
- 2θ = 31.97°, I = 77, hkl 0 2 1
- 2θ = 32.57°, I = 100, hkl 1 1 1
- 2θ = 36.03°, I = 72, hkl 1 3 0
- 2θ = 37.62°, I = 34, hkl 2 0 0
- 2θ = 48.51°, I = 10, hkl 0 4 1
- 2θ = 50.17°, I = 57, hkl 0 0 2
- 2θ = 61.89°, I = 28, hkl 1 5 1
- 2θ = 63.28°, I = 26, hkl 1 3 2
- 2θ = 64.34°, I = 13, hkl 2 0 2
- 2θ = 64.73°, I = 14, hkl 3 1 1
- 2θ = 66.87°, I = 15, hkl 3 3 0

Structural model:
```
data_PrNi2H7
_cell_length_a 4.782
_cell_length_b 8.762
_cell_length_c 3.639
_cell_angle_alpha 90.00
_cell_angle_beta 90.00
_cell_angle_gamma 90.00
_space_group_name_H-M_alt 'C m m m'
_space_group_IT_number 65
_space_group_name_Hall '-C 2 2'
loop_
_atom_site_label
_atom_site_type_symbol
_atom_site_fract_x
_atom_site_fract_y
_atom_site_fract_z
_atom_site_occupancy
Pr1 Pr 0.000 0.000 0.000 1
Ni1 Ni 0.000 0.314 0.500 1
H1 H 0.000 0.325 0.000 1
H2 H 0.000 0.500 0.500 1
H3 H 0.175 0.147 0.500 1
```

Entry 3:
# Tl8Se3S2
Computed powder diffractogram, Cu Kα. Input: a cell relaxed with GGA-PBE.
Peak positions follow from Bragg's law for the DFT cell and can differ from measured ones.

Principal peaks in the range 10° ≤ 2θ ≤ 80°, by angle:
- 2θ = 12.29°, I = 16, hkl 0 0 1
- 2θ = 24.50°, I = 69, hkl 2 2 -1
- 2θ = 24.73°, I = 32, hkl 0 0 2
- 2θ = 26.06°, I = 32, hkl 4 0 0
- 2θ = 27.03°, I = 55, hkl 4 0 -2
- 2θ = 29.79°, I = 100, hkl 2 2 1
- 2θ = 35.07°, I = 14, hkl 4 0 -3
- 2θ = 39.77°, I = 34, hkl 2 2 -3
- 2θ = 41.49°, I = 19, hkl 0 4 0
- 2θ = 41.52°, I = 35, hkl 6 2 -1
- 2θ = 43.75°, I = 16, hkl 4 0 2
- 2θ = 50.22°, I = 21, hkl 4 4 -2

Structural model:
```
data_Tl8Se3S2
_cell_length_a 15.195
_cell_length_b 8.706
_cell_length_c 7.999
_cell_angle_alpha 90.00
_cell_angle_beta 115.84
_cell_angle_gamma 90.00
_space_group_name_H-M_alt 'C 1 2/m 1'
_space_group_IT_number 12
_space_group_name_Hall '-C 2y'
loop_
_atom_site_label
_atom_site_type_symbol
_atom_site_fract_x
_atom_site_fract_y
_atom_site_fract_z
_atom_site_occupancy
Tl1 Tl 0.123 0.225 0.292 1
Tl2 Tl 0.137 0.000 0.767 1
Tl3 Tl 0.142 0.500 0.734 1
Se1 Se 0.000 0.000 0.000 1
Se2 Se 0.000 0.249 0.500 1
S1 S 0.238 0.500 0.477 1
```

Entry 4:
# Li2SmSb2Au2
Computed powder diffractogram, Cu Kα. Input: a cell relaxed with GGA-PBE.
Peak positions follow from Bragg's law for the DFT cell and can differ from measured ones.

Principal peaks in the range 10° ≤ 2θ ≤ 80°, by angle:
- 2θ = 21.35°, I = 21, hkl 0 0 6
- 2θ = 22.86°, I = 33, hkl 1 0 1
- 2θ = 23.69°, I = 24, hkl 0 1 2
- 2θ = 26.77°, I = 79, hkl 1 0 4
- 2θ = 33.91°, I = 86, hkl 1 0 7
- 2θ = 39.64°, I = 100, hkl 1 1 0
- 2θ = 42.89°, I = 20, hkl 1 0 10
- 2θ = 46.17°, I = 39, hkl 0 1 11
- 2θ = 52.00°, I = 23, hkl 1 1 9
- 2θ = 53.13°, I = 24, hkl 0 2 7
- 2θ = 62.45°, I = 18, hkl 2 0 11
- 2θ = 68.28°, I = 23, hkl 2 1 7

Structural model:
```
data_Li2SmSb2Au2
_cell_length_a 4.5477
_cell_length_b 4.5477
_cell_length_c 24.9672
_cell_angle_alpha 90.00
_cell_angle_beta 90.00
_cell_angle_gamma 120.00
_space_group_name_H-M_alt 'R -3 m'
_space_group_IT_number 166
_space_group_name_Hall '-R 3 2"'
loop_
_atom_site_label
_atom_site_type_symbol
_atom_site_fract_x
_atom_site_fract_y
_atom_site_fract_z
_atom_site_occupancy
Li1 Li 0.0000 0.0000 0.1442 1
Sm1 Sm 0.0000 0.0000 0.0000 1
Sb1 Sb 0.0000 0.0000 0.2610 1
Au1 Au 0.0000 0.0000 0.4423 1
```

Entry 5:
# AcSCl3
Computed powder diffractogram, Cu Kα. Input: a cell relaxed with GGA-PBE.
Peak positions follow from Bragg's law for the DFT cell and can differ from measured ones.

Principal peaks in the range 10° ≤ 2θ ≤ 80°, by angle:
- 2θ = 12.61°, I = 100, hkl 1 0 0
- 2θ = 12.90°, I = 38, hkl 0 1 1
- 2θ = 13.56°, I = 18, hkl 0 0 2
- 2θ = 22.03°, I = 22, hkl 0 2 0
- 2θ = 23.17°, I = 77, hkl 1 1 -3
- 2θ = 25.47°, I = 40, hkl 1 2 0
- 2θ = 29.32°, I = 36, hkl 2 1 -3
- 2θ = 29.51°, I = 25, hkl 1 1 3
- 2θ = 33.85°, I = 21, hkl 2 2 0
- 2θ = 39.11°, I = 15, hkl 3 1 -3
- 2θ = 39.36°, I = 21, hkl 0 3 3
- 2θ = 45.46°, I = 14, hkl 1 2 -6

Structural model:
```
data_AcSCl3
_cell_length_a 7.402
_cell_length_b 8.068
_cell_length_c 13.774
_cell_angle_alpha 90.00
_cell_angle_beta 108.48
_cell_angle_gamma 90.00
_space_group_name_H-M_alt 'P 1 2/c 1'
_space_group_IT_number 13
_space_group_name_Hall '-P 2yc'
loop_
_atom_site_label
_atom_site_type_symbol
_atom_site_fract_x
_atom_site_fract_y
_atom_site_fract_z
_atom_site_occupancy
Ac1 Ac 0.002 0.250 0.082 1
S1 S 0.113 0.248 0.808 1
Cl1 Cl 0.249 0.250 0.294 1
Cl2 Cl 0.250 0.008 0.551 1
Cl3 Cl 0.250 0.491 0.552 1
```

Entry 6:
# CaLa8Ho3
Computed powder diffractogram, Cu Kα. Input: a cell relaxed with GGA-PBE.
Peak positions follow from Bragg's law for the DFT cell and can differ from measured ones.

Principal peaks in the range 10° ≤ 2θ ≤ 80°, by angle:
- 2θ = 12.30°, I = 43, hkl 1 0 1
- 2θ = 20.10°, I = 47, hkl 1 1 2
- 2θ = 23.77°, I = 51, hkl 2 1 1
- 2θ = 24.75°, I = 22, hkl 2 0 2
- 2θ = 28.33°, I = 31, hkl 0 0 4
- 2θ = 28.81°, I = 68, hkl 2 2 0
- 2θ = 31.21°, I = 41, hkl 2 1 3
- 2θ = 31.87°, I = 51, hkl 1 1 4
- 2θ = 35.38°, I = 100, hkl 3 1 2
- 2θ = 40.85°, I = 25, hkl 2 2 4
- 2θ = 43.49°, I = 21, hkl 3 1 4
- 2θ = 54.85°, I = 28, hkl 3 1 6

Structural model:
```
data_CaLa8Ho3
_cell_length_a 8.765
_cell_length_b 8.765
_cell_length_c 12.599
_cell_angle_alpha 90.00
_cell_angle_beta 90.00
_cell_angle_gamma 90.00
_space_group_name_H-M_alt 'I -4 2 m'
_space_group_IT_number 121
_space_group_name_Hall 'I -4 2'
loop_
_atom_site_label
_atom_site_type_symbol
_atom_site_fract_x
_atom_site_fract_y
_atom_site_fract_z
_atom_site_occupancy
Ca1 Ca 0.000 0.000 0.000 1
La1 La 0.151 0.151 0.720 1
La2 La 0.233 0.233 0.446 1
Ho1 Ho 0.000 0.000 0.500 1
Ho2 Ho 0.000 0.500 0.250 1
```

Entry 7:
# Cu2PO4
Computed powder diffractogram, Cu Kα. Input: a cell relaxed with GGA-PBE.
Peak positions follow from Bragg's law for the DFT cell and can differ from measured ones.

Principal peaks in the range 10° ≤ 2θ ≤ 80°, by angle:
- 2θ = 23.67°, I = 15, hkl 1 1 -1
- 2θ = 27.64°, I = 14, hkl 0 1 -2
- 2θ = 29.69°, I = 16, hkl 0 2 0
- 2θ = 29.82°, I = 100, hkl 1 2 1
- 2θ = 32.26°, I = 33, hkl 2 0 -1
- 2θ = 35.25°, I = 19, hkl 2 0 2
- 2θ = 36.45°, I = 15, hkl 0 2 3
- 2θ = 37.37°, I = 12, hkl -1 2 2
- 2θ = 38.89°, I = 9, hkl 1 -2 1
- 2θ = 40.13°, I = 13, hkl 0 2 -2
- 2θ = 42.14°, I = 11, hkl 1 0 4
- 2θ = 43.65°, I = 11, hkl 0 3 1

Structural model:
```
data_Cu2PO4
_cell_length_a 6.053
_cell_length_b 6.336
_cell_length_c 9.364
_cell_angle_alpha 74.29
_cell_angle_beta 84.08
_cell_angle_gamma 79.36
_space_group_name_H-M_alt 'P -1'
_space_group_IT_number 2
_space_group_name_Hall '-P 1'
loop_
_atom_site_label
_atom_site_type_symbol
_atom_site_fract_x
_atom_site_fract_y
_atom_site_fract_z
_atom_site_occupancy
Cu1 Cu 0.023 0.109 0.231 1
Cu2 Cu 0.193 0.324 0.474 1
Cu3 Cu 0.433 0.195 0.839 1
Cu4 Cu 0.449 0.614 0.865 1
P1 P 0.125 0.700 0.115 1
P2 P 0.290 0.804 0.500 1
O1 O 0.120 0.255 0.831 1
O2 O 0.134 0.646 0.477 1
O3 O 0.152 0.714 0.944 1
O4 O 0.195 0.047 0.409 1
O5 O 0.245 0.464 0.197 1
O6 O 0.249 0.883 0.144 1
O7 O 0.283 0.802 0.666 1
O8 O 0.473 0.261 0.566 1
```

Entry 8:
# EuGeBi
Computed powder diffractogram, Cu Kα. Input: a cell relaxed with GGA-PBE.
Peak positions follow from Bragg's law for the DFT cell and can differ from measured ones.

Principal peaks in the range 10° ≤ 2θ ≤ 80°, by angle:
- 2θ = 20.68°, I = 15, hkl 1 0 0
- 2θ = 20.79°, I = 7, hkl 0 0 1
- 2θ = 29.49°, I = 100, hkl 1 0 1
- 2θ = 36.23°, I = 56, hkl 1 1 0
- 2θ = 42.12°, I = 9, hkl 1 1 1
- 2θ = 42.30°, I = 12, hkl 0 0 2
- 2θ = 47.39°, I = 28, hkl 2 0 1
- 2θ = 56.89°, I = 31, hkl 1 1 2
- 2θ = 61.07°, I = 26, hkl 2 1 1
- 2θ = 65.17°, I = 10, hkl 3 0 0
- 2θ = 69.54°, I = 9, hkl 1 0 3
- 2θ = 76.91°, I = 6, hkl 2 2 0

Structural model:
```
data_EuGeBi
_cell_length_a 4.9585
_cell_length_b 4.9585
_cell_length_c 4.2730
_cell_angle_alpha 90.00
_cell_angle_beta 90.00
_cell_angle_gamma 120.00
_space_group_name_H-M_alt 'P -6 m 2'
_space_group_IT_number 187
_space_group_name_Hall 'P -6 2'
loop_
_atom_site_label
_atom_site_type_symbol
_atom_site_fract_x
_atom_site_fract_y
_atom_site_fract_z
_atom_site_occupancy
Eu1 Eu 0.0000 0.0000 0.0000 1
Ge1 Ge 0.6667 0.3333 0.5000 1
Bi1 Bi 0.3333 0.6667 0.5000 1
```

Entry 9:
# Li6Mg4Hg
Computed powder diffractogram, Cu Kα. Input: a cell relaxed with GGA-PBE.
Peak positions follow from Bragg's law for the DFT cell and can differ from measured ones.

Principal peaks in the range 10° ≤ 2θ ≤ 80°, by angle:
- 2θ = 12.75°, I = 21, hkl 0 0 2
- 2θ = 17.06°, I = 100, hkl 1 0 1
- 2θ = 22.44°, I = 27, hkl 1 1 0
- 2θ = 24.95°, I = 28, hkl 1 0 3
- 2θ = 25.89°, I = 32, hkl 1 1 2
- 2θ = 34.34°, I = 19, hkl 1 1 4
- 2θ = 34.52°, I = 29, hkl 2 0 2
- 2θ = 36.09°, I = 22, hkl 1 0 5
- 2θ = 36.43°, I = 31, hkl 2 1 1
- 2θ = 40.95°, I = 27, hkl 2 1 3
- 2θ = 41.41°, I = 13, hkl 2 0 4
- 2θ = 53.36°, I = 11, hkl 3 1 2

Structural model:
```
data_Li6Mg4Hg
_cell_length_a 5.603
_cell_length_b 5.603
_cell_length_c 13.887
_cell_angle_alpha 90.00
_cell_angle_beta 90.00
_cell_angle_gamma 90.00
_space_group_name_H-M_alt 'I -4 2 m'
_space_group_IT_number 121
_space_group_name_Hall 'I -4 2'
loop_
_atom_site_label
_atom_site_type_symbol
_atom_site_fract_x
_atom_site_fract_y
_atom_site_fract_z
_atom_site_occupancy
Li1 Li 0.000 0.500 0.000 1
Li2 Li 0.174 0.174 0.389 1
Mg1 Mg 0.193 0.193 0.185 1
Hg1 Hg 0.000 0.000 0.000 1
```

Entry 10:
# PmGa9Ni2
Computed powder diffractogram, Cu Kα. Input: a cell relaxed with GGA-PBE.
Peak positions follow from Bragg's law for the DFT cell and can differ from measured ones.

Principal peaks in the range 10° ≤ 2θ ≤ 80°, by angle:
- 2θ = 33.27°, I = 29, hkl 3 2 1
- 2θ = 36.21°, I = 100, hkl 3 1 2
- 2θ = 36.65°, I = 37, hkl 1 0 3
- 2θ = 38.77°, I = 55, hkl 4 2 0
- 2θ = 40.69°, I = 14, hkl 2 1 3
- 2θ = 42.20°, I = 13, hkl 4 0 2
- 2θ = 45.26°, I = 45, hkl 5 0 1
- 2θ = 45.83°, I = 26, hkl 4 2 2
- 2θ = 54.55°, I = 11, hkl 2 2 4
- 2θ = 67.54°, I = 16, hkl 3 0 5
- 2θ = 68.51°, I = 23, hkl 5 5 2
- 2θ = 72.91°, I = 15, hkl 8 0 0

Structural model:
```
data_PmGa9Ni2
_cell_length_a 10.388
_cell_length_b 10.388
_cell_length_c 7.570
_cell_angle_alpha 90.00
_cell_angle_beta 90.00
_cell_angle_gamma 90.00
_space_group_name_H-M_alt 'I 41/a m d'
_space_group_IT_number 141
loop_
_space_group_symop_operation_xyz
'x,y,z'
'-x,-y,-z'
'-y+1/4,x+3/4,z+1/4'
'y+1/4,-x+3/4,-z+1/4'
'-x+1/2,-y,z+1/2'
'x+1/2,y,-z+1/2'
'y+1/4,-x+1/4,z+3/4'
'-y+1/4,x+1/4,-z+3/4'
'x,-y,-z'
'-x,y,z'
'-y+1/4,-x+1/4,-z+3/4'
'y+1/4,x+1/4,z+3/4'
'-x+1/2,y,-z+1/2'
'x+1/2,-y,z+1/2'
'y+1/4,x+3/4,-z+1/4'
'-y+1/4,-x+3/4,z+1/4'
'x+1/2,y+1/2,z+1/2'
'-x+1/2,-y+1/2,-z+1/2'
'-y+3/4,x+1/4,z+3/4'
'y+3/4,-x+1/4,-z+3/4'
'-x,-y+1/2,z'
'x,y+1/2,-z'
'y+3/4,-x+3/4,z+1/4'
'-y+3/4,x+3/4,-z+1/4'
'x+1/2,-y+1/2,-z+1/2'
'-x+1/2,y+1/2,z+1/2'
'-y+3/4,-x+3/4,-z+1/4'
'y+3/4,x+3/4,z+1/4'
'-x,y+1/2,-z'
'x,-y+1/2,z'
'y+3/4,x+1/4,-z+3/4'
'-y+3/4,-x+1/4,z+3/4'
loop_
_atom_site_label
_atom_site_type_symbol
_atom_site_fract_x
_atom_site_fract_y
_atom_site_fract_z
_atom_site_occupancy
Pm1 Pm 0.000 0.250 0.375 1
Ga1 Ga 0.000 0.250 0.875 1
Ga2 Ga 0.122 0.051 0.683 1
Ni1 Ni 0.000 0.000 0.000 1
```

Entry 11:
# Hf8MgN8O4
Computed powder diffractogram, Cu Kα. Input: a cell relaxed with GGA-PBE.
Peak positions follow from Bragg's law for the DFT cell and can differ from measured ones.

Principal peaks in the range 10° ≤ 2θ ≤ 80°, by angle:
- 2θ = 22.30°, I = 60, hkl 1 1 -1
- 2θ = 29.77°, I = 81, hkl 1 0 -2
- 2θ = 29.90°, I = 83, hkl 1 1 3
- 2θ = 30.26°, I = 71, hkl 0 1 -3
- 2θ = 32.61°, I = 100, hkl 1 -1 1
- 2θ = 32.76°, I = 100, hkl 1 2 0
- 2θ = 33.15°, I = 99, hkl 2 1 1
- 2θ = 35.04°, I = 53, hkl 0 0 4
- 2θ = 44.17°, I = 32, hkl 0 2 2
- 2θ = 45.47°, I = 27, hkl 2 0 4
- 2θ = 48.93°, I = 29, hkl 2 1 -3
- 2θ = 49.25°, I = 49, hkl 1 -1 5

Structural model:
```
data_Hf8MgN8O4
_cell_length_a 5.404
_cell_length_b 5.469
_cell_length_c 10.675
_cell_angle_alpha 89.13
_cell_angle_beta 75.46
_cell_angle_gamma 60.70
_space_group_name_H-M_alt 'P 1'
_space_group_IT_number 1
_space_group_name_Hall 'P 1'
loop_
_atom_site_label
_atom_site_type_symbol
_atom_site_fract_x
_atom_site_fract_y
_atom_site_fract_z
_atom_site_occupancy
Hf1 Hf 0.000 0.000 0.000 1
Hf2 Hf 0.010 0.497 0.529 1
Hf3 Hf 0.175 0.438 0.217 1
Hf4 Hf 0.194 0.910 0.715 1
Hf5 Hf 0.453 0.787 0.292 1
Hf6 Hf 0.469 0.299 0.794 1
Hf7 Hf 0.669 0.159 0.509 1
Hf8 Hf 0.704 0.630 0.976 1
Mg1 Mg 0.796 0.107 0.254 1
N1 N 0.048 0.782 0.369 1
N2 N 0.081 0.275 0.873 1
N3 N 0.275 0.511 0.634 1
N4 N 0.380 0.169 0.378 1
N5 N 0.389 0.673 0.877 1
N6 N 0.578 0.406 0.128 1
N7 N 0.847 0.753 0.135 1
N8 N 0.882 0.222 0.633 1
O1 O 0.216 0.047 0.146 1
O2 O 0.595 0.881 0.625 1
O3 O 0.751 0.448 0.372 1
O4 O 0.779 0.952 0.873 1
```

Entry 12:
# La2Ta
Computed powder diffractogram, Cu Kα. Input: a cell relaxed with GGA-PBE.
Peak positions follow from Bragg's law for the DFT cell and can differ from measured ones.

Principal peaks in the range 10° ≤ 2θ ≤ 80°, by angle:
- 2θ = 17.47°, I = 4, hkl 1 0 0
- 2θ = 30.49°, I = 24, hkl 1 1 0
- 2θ = 31.99°, I = 29, hkl 0 0 2
- 2θ = 34.54°, I = 100, hkl 1 1 1
- 2θ = 38.96°, I = 3, hkl 2 0 1
- 2θ = 44.78°, I = 17, hkl 1 1 2
- 2θ = 54.20°, I = 16, hkl 3 0 0
- 2θ = 58.68°, I = 22, hkl 1 1 3
- 2θ = 64.33°, I = 20, hkl 3 0 2
- 2θ = 65.88°, I = 13, hkl 2 2 1
- 2θ = 72.85°, I = 4, hkl 2 2 2
- 2θ = 75.28°, I = 4, hkl 1 1 4

Structural model:
```
data_La2Ta
_cell_length_a 5.8628
_cell_length_b 5.8628
_cell_length_c 5.5946
_cell_angle_alpha 90.00
_cell_angle_beta 90.00
_cell_angle_gamma 120.00
_space_group_name_H-M_alt 'P -6 2 m'
_space_group_IT_number 189
_space_group_name_Hall 'P -6 -2'
loop_
_atom_site_label
_atom_site_type_symbol
_atom_site_fract_x
_atom_site_fract_y
_atom_site_fract_z
_atom_site_occupancy
La1 La 0.0000 0.0000 0.0000 1
La2 La 0.0000 0.6279 0.5000 1
Ta1 Ta 0.3333 0.6667 0.0000 1
```